Cr3P: calculated powder XRD pattern (Cu Ka), based on a crystal structure in the Materials Project, relaxed with PBE.

Cell and atoms:
Unit cell a=9.095 b=9.095 c=4.496 alpha=90.00 beta=90.00 gamma=90.00
Space group I-4 (No. 82)
Asymmetric unit:
Cr 0.030 0.358 0.499 (multiplicity 8)
Cr 0.076 0.899 0.264 (multiplicity 8)
Cr 0.166 0.778 0.732 (multiplicity 8)
P 0.045 0.290 0.004 (multiplicity 8)

Top 8 peaks for 2θ from 10° to 80°, by angle:
index  Position (°2θ)  intensity
2 3 1  41.03  100
3 3 0  42.15  26
1 1 2  42.60  57
2 4 0  44.55  32
4 1 1  45.82  78
2 2 2  49.47  22
5 1 0  51.22  26
1 3 2  51.60  29